# CuSnPd2
Simulated powder diffractogram, Cu Kα, 1.54184 Å. Input: the GGA-PBE geometry in the Materials Project.

Main lines, by intensity (5° ≤ 2θ ≤ 70°):
d (Å)	I/Imax	h k l
2.292	100.0	1 1 1
2.001	33.2	2 0 0
1.398	20.4	2 0 2
1.953	15.4	0 0 2
1.415	10.6	2 2 0
4.002	3.4	1 0 0
2.795	2.8	1 0 1
1.627	1.4	2 1 1
1.790	0.9	2 1 0
1.755	0.8	1 0 2
3.906	0.5	0 0 1

```
CuSnPd2
1.0
4.0023 0.0000 0.0000
0.0000 4.0023 0.0000
0.0000 0.0000 3.9060
Cu Sn Pd
1 1 2
Cartesian
0.0000 0.0000 0.0000
2.0011 2.0011 0.0000
0.0000 2.0011 1.9530
2.0011 0.0000 1.9530
```

***

# ThAlCo
Simulated powder diffractogram, Cu Kα, 1.54184 Å. Input: the GGA-PBE geometry in the Materials Project.

Main lines, by intensity (5° ≤ 2θ ≤ 70°):
d (Å)	I/Imax	h k l
2.645	100.0	1 1 1
2.425	98.7	2 0 1
1.556	47.2	3 1 1
3.513	46.8	1 1 0
3.042	46.3	2 0 0
4.019	43.2	0 0 1
2.299	33.1	2 1 0
1.687	31.4	3 1 0
2.009	22.1	0 0 2
6.084	20.9	1 0 0
1.996	19.3	2 1 1
1.513	18.3	2 1 2

```
ThAlCo
1.0
7.0250 0.0000 0.0000
-3.5125 6.0838 0.0000
0.0000 0.0000 4.0189
Th Al Co
3 3 3
Cartesian
-2.0360 3.5265 0.0000
1.4765 2.5573 0.0000
4.0721 0.0000 0.0000
-0.7985 1.3830 2.0094
1.5969 0.0000 2.0094
2.7140 4.7009 2.0094
0.0000 0.0000 0.0000
0.0000 4.0559 2.0094
3.5125 2.0279 2.0094
```